Entry 1:
Pr7Er2: simulated powder diffraction line list (Cu Kα X-rays), based on a cell relaxed with PBE.
Lines closer than 0.1° are merged.

Main lines, in order of rising 2θ (2θ = 5–70°):
- 30.55 deg, I = 72
- 30.80 deg, I = 100
- 32.28 deg, I = 26
- 37.02 deg, I = 18
- 43.94 deg, I = 22
- 52.38 deg, I = 20
- 54.62 deg, I = 20
- 54.77 deg, I = 16
- 58.91 deg, I = 10
- 60.55 deg, I = 29

Structure:
```
9
Lattice="10.0555 0.0000 0.0000 -5.0277 8.7083 0.0000 0.0000 0.0000 3.5978" Properties=species:S:1:pos:R:3 pbc="T T T"
Pr 0.0000 0.0000 0.0000
Pr -1.8268 3.1642 0.0000
Pr -3.4748 6.0185 1.7989
Pr 1.5530 2.6898 1.7989
Pr 3.6537 0.0000 0.0000
Pr 3.2009 5.5442 0.0000
Pr 6.9495 0.0000 1.7989
Er 0.0000 5.8055 1.7989
Er 5.0278 2.9028 1.7989
```


Entry 2:
Pr8Er3: simulated powder diffraction line list (Cu Kα X-rays), based on a cell relaxed with PBE.
Lines closer than 0.1° are merged.

Main lines, in order of rising 2θ (2θ = 5–70°):
- 29.91 deg, I = 100
- 34.60 deg, I = 34
- 34.81 deg, I = 17
- 49.88 deg, I = 30
- 59.07 deg, I = 15
- 59.19 deg, I = 14
- 59.39 deg, I = 7
- 59.43 deg, I = 7
- 62.07 deg, I = 6
- 62.21 deg, I = 6

Structure:
```
11
Lattice="5.7888 -2.5773 0.0000 5.7888 2.5773 0.0000 -3.4506 0.0000 12.7698" Properties=species:S:1:pos:R:3 pbc="T T T"
Pr -0.5605 0.0000 4.0572
Pr -1.7270 0.0000 12.1861
Pr 0.5957 0.0000 7.5499
Pr 2.9134 0.0000 2.9066
Pr 5.2136 0.0000 9.8633
Pr 7.5314 0.0000 5.2199
Pr 9.8540 0.0000 0.5838
Pr 8.6875 0.0000 8.7126
Er 1.7459 0.0000 11.0564
Er 4.0635 0.0000 6.3849
Er 6.3812 0.0000 1.7134
```


Entry 3:
Pr5Er: simulated powder diffraction line list (Cu Kα X-rays), based on a cell relaxed with PBE.
Lines closer than 0.1° are merged.

Main lines, in order of rising 2θ (2θ = 5–70°):
- 29.74 deg, I = 100
- 34.41 deg, I = 17
- 34.51 deg, I = 34
- 49.56 deg, I = 36
- 58.78 deg, I = 15
- 58.92 deg, I = 29
- 61.77 deg, I = 12

Structure:
```
12
Lattice="5.2131 0.0000 0.0000 0.0000 11.0271 0.0000 0.0000 0.0000 7.3492" Properties=species:S:1:pos:R:3 pbc="T T T"
Pr 1.3033 0.9157 0.9060
Pr 1.3033 0.9410 4.6098
Pr 1.3033 4.5726 4.6098
Pr 1.3033 4.5979 0.9060
Pr 1.3033 8.2704 4.6029
Pr 3.9098 2.7568 2.7463
Pr 3.9098 6.4293 6.4432
Pr 3.9098 6.4545 2.7394
Pr 3.9098 10.0862 2.7394
Pr 3.9098 10.1114 6.4432
Er 1.3033 8.2704 0.9036
Er 3.9098 2.7568 6.4456
```